For AcPr7Ho12, a structure optimized by DFT (PBE) gives the computed XRD peak list in this record (Cu Kα X-rays).
No peak broadening, texture or thermal motion is included.

Principal peaks in the range 15 to 90 degrees two-theta, by intensity:
- 31.42°, I 100, (4 0 0)
- 27.12°, I 80, (2 2 2)
- 45.03°, I 74, (4 4 0)
- 53.36°, I 37, (6 2 2)
- 74.52°, I 33, (8 4 0)
- 55.93°, I 26, (4 4 4)
- 83.09°, I 25, (8 4 4)
- 15.56°, I 18, (2 0 0)
- 22.07°, I 15, (2 2 0)
- 72.32°, I 15, (6 6 2)

Structural model:
Cell: 11.3897 11.3897 11.3897 Å, 90.00 90.00 90.00°
Space group Im-3m (No. 229)
Inequivalent atoms, fractional coordinates:
1 Ac 0.0000 0.0000 0.0000 (multiplicity 2)
2 Pr 0.0000 0.0000 0.5000 (multiplicity 6)
3 Pr 0.2500 0.2500 0.2500 (multiplicity 8)
4 Ho 0.0000 0.2539 0.2539 (multiplicity 24)

For Ac6Pr2Ho3, a structure optimized by DFT (PBE) gives the computed XRD peak list in this record (Cu Kα X-rays).
No peak broadening, texture or thermal motion is included.

Principal peaks in the range 15 to 90 degrees two-theta, by intensity:
- 28.76°, I 100, (1 3 1)
- 33.76°, I 44, (1 3 -3)
- 29.93°, I 30, (0 0 4)
- 33.50°, I 23, (2 0 2)
- 57.36°, I 20, (0 6 4)
- 47.54°, I 17, (3 3 -1)
- 49.04°, I 16, (1 3 5)
- 56.65°, I 10, (2 6 -2)
- 57.00°, I 10, (3 3 3)
- 58.72°, I 9, (1 3 -7)

Structural model:
Cell: 6.6321 11.4448 12.1277 Å, 90.00 100.04 90.00°
Space group C2/m (No. 12)
Inequivalent atoms, fractional coordinates:
1 Ac 0.2450 0.0000 0.2509 (multiplicity 4)
2 Ac 0.2469 0.3340 0.2474 (multiplicity 8)
3 Pr 0.0000 0.3307 0.5000 (multiplicity 4)
4 Ho 0.0000 0.1658 0.0000 (multiplicity 4)
5 Ho 0.0000 0.5000 0.0000 (multiplicity 2)